1.
# GaCu6Ag
Computed X-ray diffraction stick pattern, Cu Ka. Input: DFT lattice parameters and positions (GGA-PBE).

Peak list (10 most intense, 2θ from 10° to 80°, sorted by position)
- hkl 1 0 0, 2θ = 19.41°, I = 1.8
- hkl 1 0 1, 2θ = 28.38°, I = 3.8
- hkl 1 1 0, 2θ = 33.95°, I = 0.9
- hkl 2 0 0, 2θ = 39.41°, I = 24.7
- hkl 0 0 2, 2θ = 41.69°, I = 27.7
- hkl 2 0 1, 2θ = 44.82°, I = 100.0
- hkl 2 1 0, 2θ = 52.98°, I = 0.8
- hkl 2 0 2, 2θ = 58.71°, I = 14.3
- hkl 2 2 0, 2θ = 71.46°, I = 14.9
- hkl 2 0 3, 2θ = 78.30°, I = 17.2

Atomic structure:
```
data_GaCu6Ag
_chemical_formula_sum 'Ga1 Cu6 Ag1'
_cell_length_a 5.2805
_cell_length_b 5.2805
_cell_length_c 4.3330
_cell_angle_alpha 90.00
_cell_angle_beta 90.00
_cell_angle_gamma 120.00
_space_group_name_H-M_alt 'P -6 m 2'
_space_group_IT_number 187
_space_group_name_Hall 'P -6 2'
loop_
_atom_site_label
_atom_site_fract_x
_atom_site_fract_y
_atom_site_fract_z
Ga1 0.0000 0.0000 0.0000
Cu1 0.0117 0.5058 0.0000
Cu2 0.1679 0.3358 0.5000
Ag1 0.6667 0.3333 0.5000
```

***

2.
# Sr2FeI2
Computed X-ray diffraction stick pattern, Cu Ka. Input: DFT lattice parameters and positions (GGA-PBE).

Peak list (10 most intense, 2θ from 10° to 80°, sorted by position)
- hkl 1 1 1, 2θ = 22.97°, I = 9.2
- hkl 2 1 1, 2θ = 29.28°, I = 100.0
- hkl 3 1 0, 2θ = 33.03°, I = 27.9
- hkl 0 0 2, 2θ = 35.68°, I = 16.6
- hkl 3 3 0, 2θ = 44.84°, I = 8.9
- hkl 4 1 1, 2θ = 47.29°, I = 17.8
- hkl 3 1 2, 2θ = 49.41°, I = 17.4
- hkl 3 3 2, 2θ = 58.58°, I = 8.1
- hkl 2 1 3, 2θ = 60.22°, I = 12.6
- hkl 5 2 1, 2θ = 61.04°, I = 14.8

Atomic structure:
```
data_Sr2FeI2
_chemical_formula_sum 'Sr4 Fe2 I4'
_cell_length_a 8.5750
_cell_length_b 8.5750
_cell_length_c 5.0322
_cell_angle_alpha 90.00
_cell_angle_beta 90.00
_cell_angle_gamma 90.00
_space_group_name_H-M_alt 'P 4/m b m'
_space_group_IT_number 127
_space_group_name_Hall '-P 4 2ab'
loop_
_atom_site_label
_atom_site_fract_x
_atom_site_fract_y
_atom_site_fract_z
Sr1 0.1693 0.3307 0.0000
Fe1 0.0000 0.0000 0.0000
I1 0.1521 0.6521 0.5000
```

***

3.
# VMoW4
Computed X-ray diffraction stick pattern, Cu Ka. Input: DFT lattice parameters and positions (GGA-PBE).

Peak list (9 most intense, 2θ from 10° to 80°, sorted by position)
- hkl 1 0 0, 2θ = 23.03°, I = 12.0
- hkl 0 1 1, 2θ = 28.29°, I = 0.9
- hkl 0 0 2, 2θ = 32.76°, I = 1.6
- hkl 1 1 0, 2θ = 40.43°, I = 100.0
- hkl 2 0 0, 2θ = 47.05°, I = 2.0
- hkl 1 1 2, 2θ = 52.99°, I = 2.6
- hkl 2 0 2, 2θ = 58.51°, I = 17.5
- hkl 2 1 0, 2θ = 63.75°, I = 1.7
- hkl 3 0 0, 2θ = 73.54°, I = 35.0

Atomic structure:
```
data_VMoW4
_chemical_formula_sum 'V1 Mo1 W4'
_cell_length_a 4.4602
_cell_length_b 4.4602
_cell_length_c 5.4674
_cell_angle_alpha 90.00
_cell_angle_beta 90.00
_cell_angle_gamma 120.00
_space_group_name_H-M_alt 'P -3 m 1'
_space_group_IT_number 164
_space_group_name_Hall '-P 3 2"'
loop_
_atom_site_label
_atom_site_fract_x
_atom_site_fract_y
_atom_site_fract_z
V1 0.0000 0.0000 0.0000
Mo1 0.0000 0.0000 0.5000
W1 0.3333 0.6667 0.1630
W2 0.3333 0.6667 0.6683
```